Diffraction record for SrYMg6O8. The X-ray powder pattern is computed, not measured: it uses the PBE geometry in the Materials Project and a wavelength of 1.5418 Å.
No peak broadening, texture or thermal motion is included.

Crystal structure
```
data_SrYMg6O8
_chemical_formula_sum 'Sr1 Y1 Mg6 O8'
_symmetry_space_group_name_H-M 'P 4/m m m'
_symmetry_Int_Tables_number 123
_symmetry_space_group_name_Hall '-P 4 2'
_cell_length_a 4.6227
_cell_length_b 4.6227
_cell_length_c 8.9865
_cell_angle_alpha 90.00
_cell_angle_beta 90.00
_cell_angle_gamma 90.00
loop_
_atom_site_label
_atom_site_fract_x
_atom_site_fract_y
_atom_site_fract_z
_atom_site_occupancy
Sr1 0.0000 0.0000 0.0000 1
Y1 0.5000 0.5000 0.0000 1
Mg1 0.0000 0.0000 0.5000 1
Mg2 0.0000 0.5000 0.2726 1
Mg3 0.5000 0.5000 0.5000 1
O1 0.0000 0.0000 0.2750 1
O2 0.0000 0.5000 0.0000 1
O3 0.0000 0.5000 0.5000 1
O4 0.5000 0.5000 0.2615 1
```

Largest 12 diffraction maxima, sorted by position, 15 to 90 degrees two-theta:
2θ/deg, I (rel.), hkl
19.76, 24.0, 0 0 2
27.28, 19.8, 1 1 0
29.07, 37.3, 1 1 1
29.83, 18.2, 0 0 3
33.91, 53.3, 1 1 2
38.97, 100.0, 2 0 0
40.14, 41.1, 0 0 4
49.83, 16.3, 2 0 3
56.29, 30.5, 2 2 0
57.18, 52.2, 2 0 4
67.36, 18.4, 3 1 2
71.37, 24.9, 2 2 4

---

Diffraction record for SrMg14ZnO16. The X-ray powder pattern is computed, not measured: it uses the PBE geometry in the Materials Project and a wavelength of 1.5418 Å.
No peak broadening, texture or thermal motion is included.

Crystal structure
```
data_SrMg14ZnO16
_chemical_formula_sum 'Sr1 Mg14 Zn1 O16'
_symmetry_space_group_name_H-M 'P 4/m m m'
_symmetry_Int_Tables_number 123
_symmetry_space_group_name_Hall '-P 4 2'
_cell_length_a 8.6521
_cell_length_b 8.6521
_cell_length_c 4.4018
_cell_angle_alpha 90.00
_cell_angle_beta 90.00
_cell_angle_gamma 90.00
loop_
_atom_site_label
_atom_site_fract_x
_atom_site_fract_y
_atom_site_fract_z
_atom_site_occupancy
Sr1 0.0000 0.0000 0.0000 1
Mg1 0.0000 0.2595 0.5000 1
Mg2 0.0000 0.5000 0.0000 1
Mg3 0.2514 0.5000 0.5000 1
Mg4 0.2558 0.2558 0.0000 1
Zn1 0.5000 0.5000 0.0000 1
O1 0.0000 0.0000 0.5000 1
O2 0.0000 0.2714 0.0000 1
O3 0.0000 0.5000 0.5000 1
O4 0.2503 0.2503 0.5000 1
O5 0.2511 0.5000 0.0000 1
O6 0.5000 0.5000 0.5000 1
```

Largest 12 diffraction maxima, sorted by position, 15 to 90 degrees two-theta:
2θ/deg, I (rel.), hkl
20.53, 12.9, 2 0 0
24.92, 14.7, 1 1 1
28.94, 11.1, 2 0 1
32.73, 10.0, 3 1 0
35.74, 34.9, 2 2 1
38.75, 10.4, 3 1 1
41.01, 53.9, 0 0 2
41.76, 100.0, 4 0 0
59.96, 59.8, 4 0 2
60.53, 28.4, 4 4 0
72.33, 12.9, 6 2 1
75.73, 26.7, 4 4 2